(1)
This entry pairs a crystal structure of HoSbN2O with its theoretical X-ray diffraction stick pattern. Radiation: Cu Ka. Structure: the GGA-PBE geometry in OQMD.
Lines closer than 0.1° are merged.

Structural model:
```
HoSbN2O
1.0
8.024 0.000 0.000
0.000 7.805 0.000
-7.716 0.000 8.019
Ho Sb N O
8 8 16 8
Cartesian
0.280 1.945 0.199 Ho
-3.578 1.958 4.209 Ho
-3.904 5.773 7.724 Ho
-0.046 5.935 3.714 Ho
0.353 1.870 4.305 Ho
4.211 2.032 0.295 Ho
3.885 5.847 3.810 Ho
0.027 5.861 7.820 Ho
-5.677 0.041 6.075 Sb
-1.819 3.862 2.066 Sb
1.999 3.935 2.067 Sb
-1.859 7.773 6.076 Sb
2.166 0.033 1.943 Sb
-1.692 3.870 5.952 Sb
2.126 3.943 5.953 Sb
5.984 7.765 1.944 Sb
-2.161 5.817 2.669 N
-6.019 5.891 6.678 N
0.080 4.379 1.499 N
-3.778 7.328 5.508 N
-5.320 0.590 8.003 N
-1.461 3.313 3.994 N
-2.430 1.946 6.289 N
1.428 1.956 2.279 N
-1.121 5.849 5.740 N
2.737 5.859 1.731 N
1.769 4.493 4.026 N
5.627 7.215 0.016 N
4.085 0.477 2.511 N
0.227 3.426 6.520 N
6.327 1.914 1.341 N
2.469 1.989 5.351 N
-3.780 4.337 5.595 O
0.079 7.371 1.586 O
-1.317 0.330 3.993 O
-5.176 3.572 8.003 O
5.483 4.233 0.016 O
1.625 7.475 4.026 O
0.229 0.434 6.433 O
4.087 3.468 2.424 O
```

Main lines, low angle first (2θ = 10–90°):
2theta	I/Imax
30.9	21
32.0	100
32.2	25
45.2	18
46.5	12
55.7	11
57.3	22
57.7	11

***

(2)
This entry pairs a crystal structure of Lu4NiN3 with its theoretical X-ray diffraction stick pattern. Radiation: Cu Ka. Structure: the GGA-PBE geometry in OQMD.
Lines closer than 0.1° are merged.

Structural model:
```
Lu4NiN3
1.0
3.355 0.000 0.000
-1.677 2.905 0.000
0.000 0.000 24.058
Lu Ni N
8 2 6
Cartesian
0.000 0.000 4.053 Lu
0.000 0.000 7.976 Lu
0.000 0.000 16.082 Lu
0.000 0.000 20.005 Lu
0.000 1.937 1.341 Lu
0.000 1.937 10.688 Lu
1.677 0.968 13.370 Lu
1.677 0.968 22.717 Lu
0.000 1.937 6.014 Ni
1.677 0.968 18.043 Ni
0.000 0.000 0.000 N
0.000 0.000 12.029 N
0.000 1.937 14.791 N
0.000 1.937 21.296 N
1.677 0.968 2.762 N
1.677 0.968 9.267 N
```

Main lines, low angle first (2θ = 10–90°):
2theta	I/Imax
29.7	25
31.7	50
32.8	22
34.3	22
36.1	66
38.3	100
54.7	48
55.7	25

***

(3)
This entry pairs a crystal structure of Cu3Ag4 with its theoretical X-ray diffraction stick pattern. Radiation: Cu Ka. Structure: the GGA-PBE geometry in OQMD.
Lines closer than 0.1° are merged.

Structural model:
```
Cu3Ag4
1.0
-1.415 1.905 9.971
1.415 -1.905 9.971
1.415 1.905 -9.971
Cu Ag
3 4
Cartesian
0.000 0.000 0.000 Cu
0.000 0.000 2.751 Cu
0.000 0.000 8.690 Cu
0.000 0.000 5.740 Ag
0.000 0.000 11.330 Ag
0.000 0.000 14.127 Ag
0.000 0.000 17.301 Ag
```

Main lines, low angle first (2θ = 10–90°):
2theta	I/Imax
39.5	95
39.7	100
45.2	64
47.7	29
67.8	35
79.4	18
79.7	22
83.4	10

***

(4)
This entry pairs a crystal structure of GdHoAsBr2 with its theoretical X-ray diffraction stick pattern. Radiation: Cu Ka. Structure: the GGA-PBE geometry in OQMD.
Lines closer than 0.1° are merged.

Structural model:
```
GdHoAsBr2
1.0
4.066 0.000 0.000
-2.033 3.521 0.000
0.000 0.000 10.025
Gd Ho As Br
1 1 1 2
Cartesian
0.000 0.000 0.000 Gd
0.000 2.348 3.165 Ho
2.033 1.174 1.619 As
0.000 0.000 4.941 Br
0.000 2.348 8.210 Br
```

Main lines, low angle first (2θ = 10–90°):
2theta	I/Imax
25.3	13
31.0	100
44.4	33
44.6	33
55.3	19
73.3	14
73.6	16
82.0	11

***

(5)
This entry pairs a crystal structure of Nd2SmNi4Ge4 with its theoretical X-ray diffraction stick pattern. Radiation: Cu Ka. Structure: the GGA-PBE geometry in OQMD.
Lines closer than 0.1° are merged.

Structural model:
```
Nd2SmNi4Ge4
1.0
-2.059 2.089 11.958
2.059 -2.089 11.958
2.059 2.089 -11.958
Nd Sm Ni Ge
2 1 4 4
Cartesian
0.000 0.000 3.595 Nd
0.000 0.000 20.322 Nd
0.000 2.089 0.000 Sm
2.059 0.000 6.000 Ni
0.000 0.000 9.600 Ni
0.000 0.000 14.317 Ni
0.000 2.089 5.959 Ni
2.059 0.000 1.273 Ge
0.000 0.000 7.211 Ge
0.000 0.000 16.706 Ge
0.000 2.089 10.686 Ge
```

Main lines, low angle first (2θ = 10–90°):
2theta	I/Imax
31.4	19
34.1	100
40.2	20
43.3	21
44.0	20
47.1	12
56.2	18
63.4	13

***

(6)
This entry pairs a crystal structure of Pr21Fe8Bi7C12 with its theoretical X-ray diffraction stick pattern. Radiation: Cu Ka. Structure: the GGA-PBE geometry in OQMD.
Lines closer than 0.1° are merged.

Structural model:
```
Pr21Fe8Bi7C12
1.0
0.000 8.160 8.160
8.160 0.000 8.160
8.160 8.160 0.000
Pr Fe Bi C
21 8 7 12
Cartesian
0.000 0.000 0.000 Pr
2.232 2.232 2.232 Pr
5.928 5.928 2.232 Pr
5.928 2.232 5.928 Pr
8.160 5.367 5.367 Pr
10.953 8.160 5.367 Pr
10.953 5.367 8.160 Pr
14.088 10.392 10.392 Pr
5.367 8.160 5.367 Pr
8.160 10.953 5.367 Pr
5.367 5.367 8.160 Pr
10.953 10.953 8.160 Pr
8.160 5.367 10.953 Pr
10.953 8.160 10.953 Pr
2.232 5.928 5.928 Pr
5.367 10.953 8.160 Pr
5.367 8.160 10.953 Pr
8.160 10.953 10.953 Pr
10.392 14.088 10.392 Pr
10.392 10.392 14.088 Pr
14.088 14.088 14.088 Pr
4.965 3.195 3.195 Fe
3.195 4.965 3.195 Fe
3.195 3.195 4.965 Fe
4.965 4.965 4.965 Fe
11.355 11.355 11.355 Fe
13.125 13.125 11.355 Fe
13.125 11.355 13.125 Fe
11.355 13.125 13.125 Fe
8.160 8.160 3.434 Bi
8.160 3.434 8.160 Bi
12.886 8.160 8.160 Bi
8.160 8.160 8.160 Bi
3.434 8.160 8.160 Bi
8.160 12.886 8.160 Bi
8.160 8.160 12.886 Bi
4.080 4.080 1.770 C
4.080 1.770 4.080 C
6.390 4.080 4.080 C
1.770 4.080 4.080 C
4.080 6.390 4.080 C
4.080 4.080 6.390 C
12.240 12.240 9.930 C
12.240 9.930 12.240 C
14.550 12.240 12.240 C
9.930 12.240 12.240 C
12.240 14.550 12.240 C
12.240 12.240 14.550 C
```

Main lines, low angle first (2θ = 10–90°):
2theta	I/Imax
28.4	100
31.0	47
32.5	46
32.9	78
42.5	37
47.3	32
56.1	19
58.5	23

***

(7)
This entry pairs a crystal structure of Li4MgAsPt2 with its theoretical X-ray diffraction stick pattern. Radiation: Cu Ka. Structure: the GGA-PBE geometry in OQMD.
Lines closer than 0.1° are merged.

Structural model:
```
Li4MgAsPt2
1.0
4.383 0.000 0.000
0.000 4.383 0.000
0.000 0.000 6.022
Li Mg As Pt
4 1 1 2
Cartesian
0.000 0.000 0.000 Li
0.000 2.192 4.450 Li
2.192 0.000 1.572 Li
2.192 2.192 3.011 Li
2.192 2.192 0.000 Mg
0.000 0.000 3.011 As
0.000 2.192 1.620 Pt
2.192 0.000 4.402 Pt
```

Main lines, low angle first (2θ = 10–90°):
2theta	I/Imax
25.1	100
28.8	19
41.2	24
41.8	44
48.9	34
50.0	14
66.7	12
75.5	16

***

(8)
This entry pairs a crystal structure of Cu5Ag4 with its theoretical X-ray diffraction stick pattern. Radiation: Cu Ka. Structure: the GGA-PBE geometry in OQMD.
Lines closer than 0.1° are merged.

Structural model:
```
Cu5Ag4
1.0
-1.385 1.881 12.498
1.385 -1.881 12.498
1.385 1.881 -12.498
Cu Ag
5 4
Cartesian
0.000 0.000 0.000 Cu
0.000 0.000 2.795 Cu
0.000 0.000 8.070 Cu
0.000 0.000 16.541 Cu
0.000 0.000 19.331 Cu
0.000 0.000 5.434 Ag
0.000 0.000 11.086 Ag
0.000 0.000 13.899 Ag
0.000 0.000 21.969 Ag
```

Main lines, low angle first (2θ = 10–90°):
2theta	I/Imax
40.4	100
46.3	32
48.4	15
67.6	5
69.2	18
81.7	10
81.8	11
84.8	10

***

(9)
This entry pairs a crystal structure of TmIBr with its theoretical X-ray diffraction stick pattern. Radiation: Cu Ka. Structure: the GGA-PBE geometry in OQMD.
Lines closer than 0.1° are merged.

Structural model:
```
TmIBr
1.0
1.966 1.135 14.655
-1.966 1.135 14.655
0.000 -2.270 14.655
Tm I Br
2 2 2
Cartesian
0.000 0.000 0.000 Tm
0.000 0.000 21.983 Tm
0.000 0.000 5.319 I
0.000 0.000 38.647 I
0.000 0.000 12.931 Br
0.000 0.000 31.034 Br
```

Main lines, low angle first (2θ = 10–90°):
2theta	I/Imax
12.1	100
28.1	57
29.8	33
30.9	79
33.3	85
42.3	39
46.2	63
70.2	31

***

(10)
This entry pairs a crystal structure of KAgC2N2 with its theoretical X-ray diffraction stick pattern. Radiation: Cu Ka. Structure: the GGA-PBE geometry in OQMD.
Lines closer than 0.1° are merged.

Structural model:
```
KAgC2N2
1.0
7.238 0.000 0.000
-3.619 6.269 0.000
0.000 0.000 17.701
K Ag C N
6 6 12 12
Cartesian
0.000 0.000 0.000 K
0.000 0.000 8.851 K
0.000 4.179 0.048 K
0.000 4.179 8.802 K
3.619 2.090 8.899 K
3.619 2.090 17.653 K
0.000 2.098 4.425 Ag
-1.802 5.220 4.425 Ag
1.817 1.049 13.276 Ag
1.802 5.220 4.425 Ag
5.422 1.049 13.276 Ag
3.619 4.171 13.276 Ag
-0.884 2.086 2.577 C
-2.254 4.460 6.273 C
0.884 2.086 6.273 C
-1.371 5.991 2.577 C
2.248 0.278 11.428 C
1.365 1.808 15.124 C
2.254 4.460 2.577 C
1.371 5.991 6.273 C
4.990 0.278 15.124 C
2.736 4.183 11.428 C
5.874 1.808 11.428 C
4.503 4.183 15.124 C
-1.138 2.168 10.333 N
-2.310 4.199 16.219 N
1.138 2.168 16.219 N
-1.173 6.170 10.333 N
2.447 0.099 1.482 N
1.309 2.069 7.368 N
2.310 4.199 10.333 N
1.173 6.170 16.219 N
4.792 0.099 7.368 N
2.481 4.101 1.482 N
5.930 2.069 1.482 N
4.757 4.101 7.368 N
```

Main lines, low angle first (2θ = 10–90°):
2theta	I/Imax
15.0	53
20.1	50
26.6	80
28.9	100
30.3	36
32.3	65
38.4	44
54.8	36

***

(11)
This entry pairs a crystal structure of Zr4Nb2Ni3N3 with its theoretical X-ray diffraction stick pattern. Radiation: Cu Ka. Structure: the GGA-PBE geometry in OQMD.
Lines closer than 0.1° are merged.

Structural model:
```
Zr4Nb2Ni3N3
1.0
4.969 -2.695 0.000
4.969 2.695 0.000
-3.286 0.000 13.071
Zr Nb Ni N
8 4 6 6
Cartesian
0.863 0.415 1.339 Zr
0.871 0.423 5.180 Zr
-0.780 -0.415 7.874 Zr
-0.772 -0.423 11.716 Zr
7.425 0.423 1.355 Zr
7.433 0.415 5.197 Zr
5.782 -0.423 7.891 Zr
5.790 -0.415 11.732 Zr
4.150 0.403 1.151 Nb
4.146 0.403 5.385 Nb
2.507 -0.403 7.686 Nb
2.503 -0.403 11.921 Nb
2.505 2.204 9.803 Ni
1.145 0.063 9.805 Ni
2.787 -0.063 3.270 Ni
3.866 0.063 9.801 Ni
5.509 -0.063 3.266 Ni
4.148 -2.204 3.268 Ni
2.485 1.348 0.000 N
2.470 1.371 6.527 N
5.826 1.371 0.009 N
0.842 -1.348 6.536 N
0.827 -1.371 13.063 N
4.183 -1.371 6.544 N
```

Main lines, low angle first (2θ = 10–90°):
2theta	I/Imax
33.2	17
34.0	16
38.0	100
39.3	18
41.4	18
42.3	13
55.5	11
58.4	10

***

What did the fifth record say?
This entry pairs a crystal structure of Nd2SmNi4Ge4 with its theoretical X-ray diffraction stick pattern. Radiation: Cu Ka. Structure: the GGA-PBE geometry in OQMD.
Lines closer than 0.1° are merged.

Structural model:
```
Nd2SmNi4Ge4
1.0
-2.059 2.089 11.958
2.059 -2.089 11.958
2.059 2.089 -11.958
Nd Sm Ni Ge
2 1 4 4
Cartesian
0.000 0.000 3.595 Nd
0.000 0.000 20.322 Nd
0.000 2.089 0.000 Sm
2.059 0.000 6.000 Ni
0.000 0.000 9.600 Ni
0.000 0.000 14.317 Ni
0.000 2.089 5.959 Ni
2.059 0.000 1.273 Ge
0.000 0.000 7.211 Ge
0.000 0.000 16.706 Ge
0.000 2.089 10.686 Ge
```

Main lines, low angle first (2θ = 10–90°):
2theta	I/Imax
31.4	19
34.1	100
40.2	20
43.3	21
44.0	20
47.1	12
56.2	18
63.4	13